1.
Theoretical PXRD pattern of La6PrTe8 for Cu Kα X-rays, from a cell relaxed with PBE.
Neutral-atom scattering factors, no anomalous dispersion.

a b c (Å): 9.131 9.131 9.131
angles (deg): 60.00 60.00 60.00
Positions (direct):
La  0.000  0.000  0.500
La  0.000  0.500  0.000
La  0.000  0.500  0.500
La  0.500  0.000  0.000
La  0.500  0.000  0.500
La  0.500  0.500  0.000
Pr  0.000  0.000  0.000
Te  0.250  0.250  0.250
Te  0.253  0.253  0.747
Te  0.253  0.747  0.253
Te  0.253  0.747  0.747
Te  0.747  0.253  0.253
Te  0.747  0.253  0.747
Te  0.747  0.747  0.253
Te  0.750  0.750  0.750

Largest 12 diffraction maxima, by intensity, 5° ≤ 2θ ≤ 70°:
2theta	Rel. int.
27.63	100
39.48	77
64.55	36
48.86	28
57.06	13
11.87	4
22.84	4
13.72	2
30.17	2
19.44	2
30.97	1
54.59	1

---

2.
Theoretical PXRD pattern of Pr5Nd8In for Cu Kα X-rays, from a cell relaxed with PBE.
Neutral-atom scattering factors, no anomalous dispersion.

a b c (Å): 9.004 9.004 8.719
angles (deg): 118.28 118.28 57.30
Positions (direct):
Pr  0.000  0.000  0.000
Pr  0.228  0.573  0.043
Pr  0.427  0.772  0.957
Pr  0.611  0.292  0.729
Pr  0.708  0.389  0.271
Nd  0.073  0.559  0.576
Nd  0.079  0.169  0.682
Nd  0.376  0.277  0.285
Nd  0.441  0.927  0.424
Nd  0.539  0.079  0.926
Nd  0.723  0.624  0.715
Nd  0.831  0.921  0.318
Nd  0.921  0.461  0.074
In  0.287  0.713  0.500

Largest 12 diffraction maxima, by intensity, 5° ≤ 2θ ≤ 70°:
2theta	Rel. int.
30.74	100
30.39	66
31.61	40
30.57	30
29.11	29
31.81	28
32.01	24
23.95	24
55.96	19
32.77	17
57.22	10
48.94	10

---

3.
Theoretical PXRD pattern of SmDy3Ho2 for Cu Kα X-rays, from a cell relaxed with PBE.
Neutral-atom scattering factors, no anomalous dispersion.

a b c (Å): 7.149 7.158 8.813
angles (deg): 90.11 101.69 119.96
Positions (direct):
Sm  0.000  0.250  0.000
Sm  0.000  0.750  0.000
Dy  0.222  0.361  0.665
Dy  0.279  0.639  0.335
Dy  0.500  0.250  0.000
Dy  0.500  0.750  0.000
Dy  0.721  0.361  0.665
Dy  0.778  0.639  0.335
Ho  0.222  0.862  0.666
Ho  0.278  0.139  0.335
Ho  0.722  0.861  0.665
Ho  0.778  0.138  0.334

Largest 12 diffraction maxima, by intensity, 5° ≤ 2θ ≤ 70°:
2theta	Rel. int.
32.07	100
33.78	90
31.33	51
51.06	39
29.03	37
61.12	30
55.11	21
58.44	19
29.66	17
62.63	15
61.18	15
45.88	11